This entry pairs a crystal structure of HoTm6Mg2 with its theoretical X-ray diffraction stick pattern. Radiation: Cu Kα, 1.54184 Å. Structure: DFT lattice parameters and positions (PBE).
Intensities are scaled so that the largest is 100.

Peak list (6 most intense, 15 to 90 degrees two-theta, in order of rising 2θ)
- 2θ 32.41, 2.762 Å, I 51
- 2θ 32.68, 2.740 Å, I 54
- 2θ 32.88, 2.724 Å, I 98
- 2θ 32.98, 2.716 Å, I 100
- 2θ 46.68, 1.946 Å, I 20
- 2θ 58.93, 1.567 Å, I 28

Atomic structure:
Cell lengths 8.745, 9.400, 6.359 Å; angles 90.00, 97.52, 90.00 degrees
Space group C2/m (No. 12)
One atom of each set of equivalent atoms:
Ho (0.000, 0.000, 0.000)
Tm (0.162, 0.500, 0.676)
Tm (0.164, 0.329, 0.179)
Mg (0.000, 0.155, 0.500)



This entry pairs a crystal structure of Al with its theoretical X-ray diffraction stick pattern. Radiation: Cu Kα, 1.54184 Å. Structure: DFT lattice parameters and positions (PBE).
Intensities are scaled so that the largest is 100.

Peak list (6 most intense, 15 to 90 degrees two-theta, in order of rising 2θ)
- 2θ 19.22, 4.619 Å, I 26
- 2θ 27.30, 3.266 Å, I 22
- 2θ 30.60, 2.921 Å, I 22
- 2θ 38.07, 2.364 Å, I 39
- 2θ 40.03, 2.253 Å, I 100
- 2θ 44.76, 2.025 Å, I 78

Atomic structure:
Cell lengths 9.238, 9.238, 4.727 Å; angles 90.00, 90.00, 90.00 degrees
Space group I4/mcm (No. 140)
One atom of each set of equivalent atoms:
Al (0.100, 0.400, 0.000)
Al (0.194, 0.306, 0.500)



Repeat the second record exactly.
This entry pairs a crystal structure of Al with its theoretical X-ray diffraction stick pattern. Radiation: Cu Kα, 1.54184 Å. Structure: DFT lattice parameters and positions (PBE).
Intensities are scaled so that the largest is 100.

Peak list (6 most intense, 15 to 90 degrees two-theta, in order of rising 2θ)
- 2θ 19.22, 4.619 Å, I 26
- 2θ 27.30, 3.266 Å, I 22
- 2θ 30.60, 2.921 Å, I 22
- 2θ 38.07, 2.364 Å, I 39
- 2θ 40.03, 2.253 Å, I 100
- 2θ 44.76, 2.025 Å, I 78

Atomic structure:
Cell lengths 9.238, 9.238, 4.727 Å; angles 90.00, 90.00, 90.00 degrees
Space group I4/mcm (No. 140)
One atom of each set of equivalent atoms:
Al (0.100, 0.400, 0.000)
Al (0.194, 0.306, 0.500)